Structure and computed X-ray diffraction stick pattern of Na4CaTaSi2PO12 (a cell relaxed with PBE; Cu Kα).

Crystal structure
a = 9.2094 Å, b = 9.2094 Å, c = 9.1758 Å
α = 119.12°, β = 119.12°, γ = 61.14°
Positions (direct):
Na 0.0433 0.9567 0.5000
Na 0.1661 0.6890 0.0979
Na 0.2656 0.4438 0.7235
Na 0.4438 0.2656 0.2235
Na 0.5534 0.7883 0.3332
Na 0.6890 0.1661 0.5979
Na 0.7883 0.5534 0.8332
Na 0.9567 0.0433 0.0000
Ca 0.3206 0.8232 0.9558
Ca 0.8232 0.3206 0.4558
Ta 0.0232 0.5231 0.2573
Ta 0.5231 0.0232 0.7573
Si 0.1212 0.2233 0.8696
Si 0.2233 0.1212 0.3696
Si 0.7226 0.9068 0.1554
Si 0.9068 0.7226 0.6554
P 0.4052 0.6298 0.5534
P 0.6298 0.4052 0.0534
O 0.0586 0.1347 0.3954
O 0.0702 0.7555 0.8338
O 0.1242 0.3988 0.0568
O 0.1347 0.0586 0.8954
O 0.1703 0.3122 0.3326
O 0.2293 0.6320 0.3882
O 0.2697 0.9385 0.2154
O 0.3122 0.1703 0.8326
O 0.3786 0.6379 0.7080
O 0.3988 0.1242 0.5568
O 0.4420 0.8056 0.6029
O 0.4630 0.5517 0.0047
O 0.5517 0.4630 0.5047
O 0.5654 0.8667 0.1386
O 0.6320 0.2293 0.8882
O 0.6379 0.3786 0.2080
O 0.6697 0.9452 0.9655
O 0.7252 0.9019 0.6586
O 0.7555 0.0702 0.3338
O 0.8056 0.4420 0.1029
O 0.8667 0.5654 0.6386
O 0.9019 0.7252 0.1586
O 0.9385 0.2697 0.7154
O 0.9452 0.6697 0.4655

Top 10 peaks for 10 to 90 degrees two-theta, by angle:
Position (°2θ)	d (Å)	I (rel.)
13.52	6.550	100
19.06	4.657	41
19.31	4.598	87
27.23	3.275	40
30.38	2.942	23
30.67	2.915	73
30.75	2.907	36
33.19	2.699	41
33.38	2.684	36
45.95	1.975	28